This entry pairs a crystal structure of Mn2InCl2O2 with its calculated powder diffractogram. Radiation: Cu Kα (λ = 1.5418 Å). Structure: DFT lattice parameters and positions (PBE+U).
Neutral-atom scattering factors, no anomalous dispersion.

Main lines, by angle (15 to 90 degrees two-theta):
- 15.5 deg, I 36
- 16.7 deg, I 23
- 27.2 deg, I 37
- 29.0 deg, I 39
- 32.4 deg, I 100
- 40.3 deg, I 26
- 52.7 deg, I 27
- 55.2 deg, I 28

Cell and atoms:
Cell: 6.8848 6.8848 6.1731 Å, 111.57 111.57 29.22°
Fractional coordinates of all 7 atoms:
Mn 0.2466 0.2466 0.2867
Mn 0.7534 0.7534 0.7133
In 0.0000 0.0000 0.5000
Cl 0.3729 0.3729 0.0297
Cl 0.6271 0.6271 0.9703
O 0.1675 0.1675 0.5279
O 0.8325 0.8325 0.4721